Entry 1:
Calculated PXRD pattern of HoNiSb for copper Kα, from a cell relaxed with GGA-PBE.

Structure:
abc: 6.3305 6.3305 6.3305
angles: 90.00 90.00 90.00
Space group F-43m (No. 216)
Inequivalent atoms, fractional coordinates:
Ho1 0.0000 0.0000 0.0000 (multiplicity 4)
Ni1 0.2500 0.2500 0.2500 (multiplicity 4)
Sb1 0.0000 0.0000 0.5000 (multiplicity 4)

Top 10 peaks for 10 to 90 degrees two-theta, by angle:
- 24.35 deg, I 12
- 28.19 deg, I 51
- 40.30 deg, I 100
- 47.64 deg, I 6
- 49.90 deg, I 14
- 58.30 deg, I 17
- 64.12 deg, I 2
- 66.00 deg, I 19
- 73.25 deg, I 33
- 87.08 deg, I 11



Entry 2:
Calculated PXRD pattern of Cu4Sn7S16 for copper Kα, from a cell relaxed with GGA-PBE.

Structure:
abc: 7.4242 7.4242 36.6708
angles: 90.00 90.00 120.00
Space group R3m (No. 160, hexagonal axes)
Inequivalent atoms, fractional coordinates:
Cu1 0.0000 0.0000 0.0000 (multiplicity 3)
Cu2 0.0000 0.0000 0.1063 (multiplicity 3)
Cu3 0.0000 0.0000 0.5176 (multiplicity 3)
Cu4 0.0000 0.0000 0.8120 (multiplicity 3)
Sn1 0.0000 0.0000 0.3093 (multiplicity 3)
Sn2 0.1679 0.3357 0.8943 (multiplicity 9)
Sn3 0.1697 0.3394 0.3964 (multiplicity 9)
S1 0.0000 0.0000 0.1868 (multiplicity 3)
S2 0.0000 0.0000 0.4352 (multiplicity 3)
S3 0.0000 0.0000 0.6883 (multiplicity 3)
S4 0.0000 0.0000 0.9363 (multiplicity 3)
S5 0.0088 0.5044 0.9361 (multiplicity 9)
S6 0.0139 0.5069 0.4370 (multiplicity 9)
S7 0.1715 0.3430 0.0204 (multiplicity 9)
S8 0.1750 0.3500 0.5205 (multiplicity 9)

Top 10 peaks for 10 to 90 degrees two-theta, by angle:
- 14.49 deg, I 36
- 14.60 deg, I 39
- 28.01 deg, I 36
- 28.15 deg, I 97
- 34.06 deg, I 100
- 44.77 deg, I 39
- 48.80 deg, I 46
- 49.08 deg, I 56
- 61.09 deg, I 18
- 81.61 deg, I 21



Entry 3:
Calculated PXRD pattern of AlI3 for copper Kα, from a cell relaxed with GGA-PBE.

Structure:
abc: 10.2110 6.7407 12.9444
angles: 90.00 108.47 90.00
Space group P2_1/c (No. 14)
Inequivalent atoms, fractional coordinates:
Al1 0.1863 0.0028 0.0460 (multiplicity 4)
I1 0.0010 0.7094 0.3922 (multiplicity 4)
I2 0.3130 0.2295 0.9584 (multiplicity 4)
I3 0.3184 0.7195 0.6973 (multiplicity 4)

Top 10 peaks for 10 to 90 degrees two-theta, by angle:
- 14.99 deg, I 6
- 23.52 deg, I 100
- 26.45 deg, I 14
- 27.60 deg, I 29
- 38.59 deg, I 27
- 39.43 deg, I 13
- 44.95 deg, I 12
- 46.42 deg, I 27
- 48.10 deg, I 9
- 61.32 deg, I 6